Diffraction record for Re3Te8Cl3. The powder diffractogram is theoretical, not measured: it uses DFT lattice parameters and positions (GGA-PBE) and Cu Kα, 1.54184 Å.
Intensities are scaled so that the largest is 100.

Crystal structure
a = 8.695 Å, b = 18.846 Å, c = 10.879 Å
α = 90.00°, β = 90.00°, γ = 90.00°
Space group P2_12_12 (No. 18)
Unique sites:
1 Re 0.046 0.100 0.308 (multiplicity 4)
2 Re 0.153 0.985 0.183 (multiplicity 4)
3 Re 0.153 0.985 0.432 (multiplicity 4)
4 Te 0.045 0.102 0.059 (multiplicity 4)
5 Te 0.047 0.101 0.557 (multiplicity 4)
6 Te 0.118 0.242 0.323 (multiplicity 4)
7 Te 0.129 0.447 0.986 (multiplicity 4)
8 Te 0.130 0.447 0.398 (multiplicity 4)
9 Te 0.151 0.571 0.692 (multiplicity 4)
10 Te 0.229 0.009 0.808 (multiplicity 4)
11 Te 0.245 0.367 0.693 (multiplicity 4)
12 Cl 0.059 0.707 0.175 (multiplicity 4)
13 Cl 0.107 0.722 0.497 (multiplicity 4)
14 Cl 0.177 0.750 0.836 (multiplicity 4)

Top 10 peaks for 10 to 80 degrees two-theta, sorted by position:
d [Å]  Rel. int.
7.895  100
6.792  94
3.296  37
3.195  29
2.298  28
2.274  30
2.248  34
2.204  31
1.974  51
1.941  28